1.
This entry pairs a crystal structure of LiNd2In5 with its calculated powder diffractogram. Radiation: a wavelength of 1.5418 Å. Structure: DFT lattice parameters and positions (PBE).
Intensities are scaled so that the largest is 100.

Crystal structure
a = 6.608 Å, b = 6.608 Å, c = 6.608 Å
α = 119.86°, β = 119.86°, γ = 90.24°
Sites, in units of the cell vectors:
1 Li 0.000 0.000 0.000
2 Nd 0.001 0.501 0.500
3 Nd 0.501 0.001 0.500
4 In 0.002 0.002 0.501
5 In 0.002 0.501 0.000
6 In 0.501 0.002 0.000
7 In 0.501 0.501 0.499
8 In 0.502 0.502 0.000

Top 12 peaks for 2θ from 15° to 90°, in order of rising 2θ:
- d = 5.399 Å, 2θ 16.42, I = 9
- d = 4.681 Å, 2θ 18.96, I = 8
- d = 3.304 Å, 2θ 26.98, I = 6
- d = 2.822 Å, 2θ 31.70, I = 4
- d = 2.699 Å, 2θ 33.19, I = 100
- d = 2.341 Å, 2θ 38.45, I = 33
- d = 2.331 Å, 2θ 38.62, I = 16
- d = 1.655 Å, 2θ 55.51, I = 11
- d = 1.652 Å, 2θ 55.64, I = 22
- d = 1.411 Å, 2θ 66.22, I = 26
- d = 1.407 Å, 2θ 66.46, I = 13
- d = 1.350 Å, 2θ 69.66, I = 11

2.
This entry pairs a crystal structure of Li3NdIn4 with its calculated powder diffractogram. Radiation: a wavelength of 1.5418 Å. Structure: DFT lattice parameters and positions (PBE).
Intensities are scaled so that the largest is 100.

Crystal structure
a = 9.733 Å, b = 7.515 Å, c = 4.869 Å
α = 90.00°, β = 90.00°, γ = 90.00°
Sites, in units of the cell vectors:
1 Li 0.000 0.000 0.000
2 Li 0.250 0.000 0.496
3 Li 0.250 0.500 0.499
4 Li 0.500 0.000 0.000
5 Li 0.750 0.000 0.504
6 Li 0.750 0.500 0.501
7 Nd 0.000 0.500 0.000
8 Nd 0.500 0.500 0.000
9 In 0.000 0.218 0.500
10 In 0.000 0.782 0.500
11 In 0.250 0.218 0.998
12 In 0.250 0.782 0.998
13 In 0.500 0.218 0.500
14 In 0.500 0.782 0.500
15 In 0.750 0.218 0.002
16 In 0.750 0.782 0.002

Top 12 peaks for 2θ from 15° to 90°, in order of rising 2θ:
- d = 4.868 Å, 2θ 18.23, I = 14
- d = 4.085 Å, 2θ 21.75, I = 19
- d = 3.757 Å, 2θ 23.68, I = 15
- d = 3.442 Å, 2θ 25.89, I = 31
- d = 3.129 Å, 2θ 28.52, I = 28
- d = 2.538 Å, 2θ 35.37, I = 100
- d = 2.434 Å, 2θ 36.93, I = 50
- d = 1.746 Å, 2θ 52.42, I = 15
- d = 1.721 Å, 2θ 53.22, I = 17
- d = 1.487 Å, 2θ 62.45, I = 12
- d = 1.424 Å, 2θ 65.53, I = 32
- d = 1.377 Å, 2θ 68.07, I = 12

3.
This entry pairs a crystal structure of LiNdInPb with its calculated powder diffractogram. Radiation: a wavelength of 1.5418 Å. Structure: DFT lattice parameters and positions (PBE).
Intensities are scaled so that the largest is 100.

Crystal structure
a = 4.596 Å, b = 4.706 Å, c = 4.799 Å
α = 90.00°, β = 90.00°, γ = 90.00°
Sites, in units of the cell vectors:
1 Li 0.000 0.000 0.000
2 Nd 0.000 0.500 0.500
3 In 0.500 0.500 0.000
4 Pb 0.500 0.000 0.500

Top 12 peaks for 2θ from 15° to 90°, in order of rising 2θ:
- d = 4.799 Å, 2θ 18.49, I = 23
- d = 4.596 Å, 2θ 19.31, I = 12
- d = 3.288 Å, 2θ 27.12, I = 19
- d = 2.712 Å, 2θ 33.02, I = 100
- d = 2.399 Å, 2θ 37.48, I = 18
- d = 2.353 Å, 2θ 38.25, I = 17
- d = 2.298 Å, 2θ 39.20, I = 16
- d = 1.680 Å, 2θ 54.63, I = 12
- d = 1.438 Å, 2θ 64.82, I = 14
- d = 1.418 Å, 2θ 65.86, I = 14
- d = 1.394 Å, 2θ 67.15, I = 13
- d = 1.356 Å, 2θ 69.28, I = 12

4.
This entry pairs a crystal structure of LiNdY2In4 with its calculated powder diffractogram. Radiation: a wavelength of 1.5418 Å. Structure: DFT lattice parameters and positions (PBE).
Intensities are scaled so that the largest is 100.

Crystal structure
a = 9.322 Å, b = 9.322 Å, c = 9.322 Å
α = 32.70°, β = 32.70°, γ = 32.70°
Sites, in units of the cell vectors:
1 Li 0.000 0.000 0.000
2 Nd 0.500 0.500 0.500
3 Y 0.254 0.254 0.254
4 Y 0.746 0.746 0.746
5 In 0.122 0.122 0.122
6 In 0.373 0.373 0.373
7 In 0.627 0.627 0.627
8 In 0.878 0.878 0.878

Top 12 peaks for 2θ from 15° to 90°, in order of rising 2θ:
- d = 4.480 Å, 2θ 19.82, I = 11
- d = 3.447 Å, 2θ 25.84, I = 12
- d = 2.673 Å, 2θ 33.52, I = 100
- d = 2.624 Å, 2θ 34.17, I = 97
- d = 1.873 Å, 2θ 48.62, I = 34
- d = 1.553 Å, 2θ 59.51, I = 17
- d = 1.524 Å, 2θ 60.76, I = 35
- d = 1.515 Å, 2θ 61.17, I = 19
- d = 1.337 Å, 2θ 70.44, I = 10
- d = 1.312 Å, 2θ 71.96, I = 13
- d = 1.191 Å, 2θ 80.67, I = 14
- d = 1.178 Å, 2θ 81.76, I = 15